For LiCaSn, a PBE-relaxed structure gives the computed X-ray diffraction stick pattern in this record (Cu Kα X-rays).
No peak broadening, texture or thermal motion is included.

Cell and atoms:
Lattice parameters (Å, degrees): 4.9299 4.9299 10.7789 90.00 90.00 120.00
Space group P3m1 (No. 156)
Asymmetric unit:
Li1 0.0000 0.0000 0.0000 (multiplicity 1)
Li2 0.0000 0.0000 0.3930 (multiplicity 1)
Li3 0.3333 0.6667 0.6791 (multiplicity 1)
Ca1 0.6667 0.3333 0.1947 (multiplicity 1)
Ca2 0.6667 0.3333 0.5270 (multiplicity 1)
Ca3 0.6667 0.3333 0.8619 (multiplicity 1)
Sn1 0.0000 0.0000 0.6947 (multiplicity 1)
Sn2 0.3333 0.6667 0.0458 (multiplicity 1)
Sn3 0.3333 0.6667 0.3468 (multiplicity 1)

Most intense lines, 2θ = 10–90°, sorted by position:
d (Å), 2θ (°), I/Imax, index
3.969, 22.40, 100, 1 0 1
3.347, 26.64, 35, 1 0 2
2.749, 32.57, 85, 0 1 3
2.465, 36.45, 77, 1 1 0
2.279, 39.55, 36, 1 0 4
2.094, 43.20, 19, 0 2 1
2.033, 44.58, 21, 1 1 3
1.835, 49.68, 25, 2 0 3
1.472, 63.16, 24, 1 2 3
1.452, 64.15, 24, 1 1 6